This entry pairs a crystal structure of TmBi2PdO6 with its calculated powder X-ray diffraction pattern. Radiation: λ = 1.5418 Å (Cu Kα). Structure: a cell relaxed with PBE.
Neutral-atom scattering factors, no anomalous dispersion.

Peak list (6 most intense, 10 to 80 degrees two-theta, in order of rising 2θ)
d (Å), I_rel
4.106, 24
3.033, 48
3.003, 100
2.966, 97
2.844, 47
1.752, 25

Structural model:
abc: 5.689 5.933 5.949
angles: 118.97 117.80 90.16
Fractional coordinates of all 10 atoms:
Tm1 0.000 0.000 0.000
Bi1 0.273 0.839 0.558
Bi2 0.793 0.353 0.571
Pd1 0.491 0.469 0.970
O1 0.135 0.171 0.472
O2 0.195 0.664 0.017
O3 0.347 0.186 0.020
O4 0.632 0.688 0.845
O5 0.719 0.216 0.861
O6 0.862 0.696 0.503

=====

This entry pairs a crystal structure of Ce15ThIn4 with its calculated powder X-ray diffraction pattern. Radiation: λ = 1.5418 Å (Cu Kα). Structure: a cell relaxed with PBE.
Neutral-atom scattering factors, no anomalous dispersion.

Peak list (6 most intense, 10 to 80 degrees two-theta, in order of rising 2θ)
d (Å), I_rel
2.780, 100
2.413, 17
2.404, 33
1.703, 23
1.454, 14
1.450, 27

Structural model:
abc: 4.809 4.809 24.130
angles: 90.00 90.00 90.00
Fractional coordinates of all 20 atoms:
Ce1 0.000 0.000 0.000
Ce2 0.000 0.000 0.202
Ce3 0.000 0.000 0.400
Ce4 0.000 0.000 0.600
Ce5 0.000 0.000 0.798
Ce6 0.000 0.500 0.101
Ce7 0.000 0.500 0.301
Ce8 0.000 0.500 0.500
Ce9 0.000 0.500 0.699
Ce10 0.000 0.500 0.899
Ce11 0.500 0.000 0.101
Ce12 0.500 0.000 0.301
Ce13 0.500 0.000 0.500
Ce14 0.500 0.000 0.699
Ce15 0.500 0.000 0.899
Th1 0.500 0.500 0.000
In1 0.500 0.500 0.201
In2 0.500 0.500 0.401
In3 0.500 0.500 0.599
In4 0.500 0.500 0.799